Entry 1:
This entry pairs a crystal structure of PmErCoCu with its simulated X-ray diffraction stick pattern. Radiation: Cu Kα. Structure: a crystal structure in Alexandria, relaxed with PBE.
Lines closer than 0.1° are merged.

Crystal structure
```
data_PmErCoCu
_chemical_formula_sum 'Pm2 Er2 Co2 Cu2'
_symmetry_space_group_name_H-M 'A m m 2'
_symmetry_Int_Tables_number 38
_cell_length_a 4.2977
_cell_length_b 3.8285
_cell_length_c 10.2049
_cell_angle_alpha 90.00
_cell_angle_beta 90.00
_cell_angle_gamma 90.00
loop_
_symmetry_equiv_pos_as_xyz
'x,y,z'
'-x,-y,z'
'-x,y,z'
'x,-y,z'
'x,y+1/2,z+1/2'
'-x,-y+1/2,z+1/2'
'-x,y+1/2,z+1/2'
'x,-y+1/2,z+1/2'
loop_
_atom_site_label
_atom_site_fract_x
_atom_site_fract_y
_atom_site_fract_z
Pm1 0.0000 0.0000 0.0000
Er1 0.5000 0.0000 0.7184
Co1 0.0000 0.0000 0.2827
Cu1 0.5000 0.0000 0.4211
```

Principal peaks in the range 15 to 90 degrees two-theta, in order of rising 2θ:
h k l  two_theta  I (rel.)
1 0 2  27.1  38.3
1 1 1  32.5  100.0
0 0 4  35.2  21.9
0 1 3  35.3  44.2
1 0 4  41.1  18.3
1 1 3  41.3  44.3
2 0 0  42.0  27.5
0 2 0  47.5  19.3
2 1 3  56.0  34.9
2 2 0  65.3  14.5
0 1 7  68.9  11.9
2 1 7  84.1  19.1

---

Entry 2:
This entry pairs a crystal structure of ErScCoCu with its simulated X-ray diffraction stick pattern. Radiation: Cu Kα. Structure: a crystal structure in Alexandria, relaxed with PBE.
Lines closer than 0.1° are merged.

Crystal structure
```
data_ErScCoCu
_chemical_formula_sum 'Er4 Sc4 Co4 Cu4'
_symmetry_space_group_name_H-M 'F -4 3 m'
_symmetry_Int_Tables_number 216
_symmetry_space_group_name_Hall 'F -4 2 3'
_cell_length_a 6.5656
_cell_length_b 6.5656
_cell_length_c 6.5656
_cell_angle_alpha 90.00
_cell_angle_beta 90.00
_cell_angle_gamma 90.00
loop_
_atom_site_label
_atom_site_fract_x
_atom_site_fract_y
_atom_site_fract_z
Er1 0.0000 0.0000 0.0000
Sc1 0.0000 0.0000 0.5000
Co1 0.2500 0.2500 0.7500
Cu1 0.2500 0.2500 0.2500
```

Principal peaks in the range 15 to 90 degrees two-theta, in order of rising 2θ:
h k l  two_theta  I (rel.)
1 1 1  23.5  29.9
2 0 0  27.2  6.7
2 2 0  38.8  100.0
3 1 1  45.8  16.2
2 2 2  48.0  2.0
4 0 0  56.0  16.5
3 3 1  61.6  7.0
4 2 0  63.4  2.8
4 2 2  70.2  32.5
5 1 1  75.2  5.3
4 4 0  83.2  10.1
5 3 1  88.0  5.6